No. 1
Theoretical X-ray powder pattern of Co3Mo2Ir3 for λ = 1.5418 Å (Cu Kα), from a DFT-relaxed cell (PBE, OQMD).

Main lines, by angle (2θ = 10–80°):
Position (°2θ)	d/Å	I_rel
19.09	4.648	13.0
28.46	3.137	31.7
38.67	2.328	12.0
38.78	2.322	13.1
38.97	2.311	13.0
42.46	2.129	37.6
44.39	2.041	100.0
44.61	2.031	48.0
58.81	1.570	14.6
79.04	1.212	18.1

Cell and atoms:
```
Co3Mo2Ir3
1.0
5.341 0.000 0.000
0.000 4.258 0.000
-2.645 0.000 4.657
Co Mo Ir
3 2 3
direct
0.000 0.000 0.000
0.158 0.500 0.838
0.663 0.500 0.339
0.673 0.500 0.843
0.995 0.000 0.512
0.158 0.500 0.327
0.491 0.000 0.006
0.503 0.000 0.500
```

***

No. 2
Theoretical X-ray powder pattern of LuZnCuSi for λ = 1.5418 Å (Cu Kα), from a DFT-relaxed cell (PBE, OQMD).

Main lines, by angle (2θ = 10–80°):
Position (°2θ)	d/Å	I_rel
24.01	3.706	26.0
27.79	3.210	22.0
39.71	2.270	100.0
46.94	1.936	13.8
49.17	1.853	6.3
57.42	1.605	16.6
63.13	1.473	5.9
64.97	1.435	8.2
72.08	1.310	33.1
77.22	1.235	4.5

Cell and atoms:
```
LuZnCuSi
1.0
0.000 3.210 3.210
3.210 0.000 3.210
3.210 3.210 0.000
Lu Zn Cu Si
1 1 1 1
direct
0.000 0.000 0.000
0.750 0.750 0.750
0.500 0.500 0.500
0.250 0.250 0.250
```

***

No. 3
Theoretical X-ray powder pattern of Gd4NiPt3 for λ = 1.5418 Å (Cu Kα), from a DFT-relaxed cell (PBE, OQMD).

Main lines, by angle (2θ = 10–80°):
Position (°2θ)	d/Å	I_rel
28.52	3.130	23.6
32.06	2.792	82.5
34.39	2.608	34.3
34.62	2.591	18.2
35.85	2.505	56.0
36.08	2.489	42.1
40.00	2.254	40.6
40.25	2.241	100.0
53.97	1.699	19.2
54.11	1.695	21.2

Cell and atoms:
```
Gd4NiPt3
1.0
5.582 0.000 0.000
0.000 4.478 0.000
-0.070 0.000 7.142
Gd Ni Pt
4 1 3
direct
0.000 0.000 0.000
0.221 0.000 0.502
0.501 0.500 0.136
0.726 0.500 0.639
0.223 0.500 0.780
0.019 0.500 0.272
0.497 0.000 0.857
0.705 0.000 0.366
```

***

No. 4
Theoretical X-ray powder pattern of Dy3Y2Tm2Ni2S2 for λ = 1.5418 Å (Cu Kα), from a DFT-relaxed cell (PBE, OQMD).

Main lines, by angle (2θ = 10–80°):
Position (°2θ)	d/Å	I_rel
29.95	2.983	60.2
31.42	2.847	66.4
31.83	2.811	54.3
34.65	2.588	51.5
35.46	2.531	100.0
35.92	2.500	59.6
40.03	2.252	25.6
48.44	1.879	29.6
56.53	1.628	23.1
60.91	1.521	23.9

Cell and atoms:
```
Dy3Y2Tm2Ni2S2
1.0
-1.879 7.388 4.564
1.879 -7.388 4.564
1.879 7.388 -4.564
Dy Y Tm Ni S
3 2 2 2 2
direct
0.000 0.000 0.000
0.282 0.401 0.881
0.520 0.401 0.119
0.611 0.246 0.366
0.880 0.246 0.634
0.293 0.608 0.685
0.923 0.608 0.315
0.156 0.914 0.241
0.673 0.914 0.759
0.243 0.743 0.500
0.656 0.656 0.000
```

***

No. 5
Theoretical X-ray powder pattern of Lu3GaB2 for λ = 1.5418 Å (Cu Kα), from a DFT-relaxed cell (PBE, OQMD).

Main lines, by angle (2θ = 10–80°):
Position (°2θ)	d/Å	I_rel
23.70	3.754	22.9
29.93	2.985	43.6
30.73	2.909	14.0
31.78	2.816	23.2
33.75	2.656	100.0
35.87	2.504	47.8
47.22	1.925	21.8
52.64	1.739	32.1
62.81	1.479	20.2
64.00	1.455	15.7

Cell and atoms:
```
Lu3GaB2
1.0
3.478 0.000 0.000
-1.739 3.012 0.000
0.000 0.000 22.527
Lu Ga B
6 2 4
direct
0.000 0.000 0.000
0.000 0.000 0.500
0.333 0.667 0.143
0.333 0.667 0.357
0.667 0.333 0.643
0.667 0.333 0.857
0.000 0.000 0.250
0.000 0.000 0.750
0.333 0.667 0.575
0.333 0.667 0.925
0.667 0.333 0.075
0.667 0.333 0.425
```

***

No. 6
Theoretical X-ray powder pattern of Zr2Be2Pt3 for λ = 1.5418 Å (Cu Kα), from a DFT-relaxed cell (PBE, OQMD).

Main lines, by angle (2θ = 10–80°):
Position (°2θ)	d/Å	I_rel
12.48	7.095	34.7
23.73	3.749	23.1
24.83	3.586	41.3
28.83	3.097	60.4
41.05	2.199	100.0
41.40	2.181	94.7
59.71	1.549	32.3
74.78	1.270	17.2
75.02	1.266	33.1
75.73	1.256	14.8

Cell and atoms:
```
Zr2Be2Pt3
1.0
2.199 1.270 7.095
-2.199 1.270 7.095
0.000 -2.539 7.095
Zr Be Pt
2 2 3
direct
0.000 0.000 0.000
0.487 0.487 0.487
0.243 0.243 0.243
0.743 0.743 0.743
0.365 0.365 0.365
0.616 0.616 0.616
0.868 0.868 0.868
```

***

No. 7
Theoretical X-ray powder pattern of ThCo2 for λ = 1.5418 Å (Cu Kα), from a DFT-relaxed cell (PBE, OQMD).

Main lines, by angle (2θ = 10–80°):
Position (°2θ)	d/Å	I_rel
25.41	3.505	100.0
25.90	3.440	73.6
31.66	2.826	15.5
36.25	2.478	16.3
37.65	2.389	33.7
45.09	2.011	87.4
45.97	1.974	41.6
52.20	1.752	14.2
59.17	1.561	35.7
73.17	1.293	21.1

Cell and atoms:
```
ThCo2
1.0
4.957 0.000 0.000
0.000 4.957 0.000
0.000 0.000 4.778
Th Co
2 4
direct
0.000 0.000 0.000
0.500 0.500 0.500
0.166 0.166 0.500
0.334 0.666 0.000
0.666 0.334 0.000
0.834 0.834 0.500
```

***

No. 8
Theoretical X-ray powder pattern of Nd2Er2CBr5 for λ = 1.5418 Å (Cu Kα), from a DFT-relaxed cell (PBE, OQMD).

Main lines, by angle (2θ = 10–80°):
Position (°2θ)	d/Å	I_rel
10.10	8.761	17.2
10.80	8.194	64.8
30.61	2.920	37.8
30.93	2.891	21.2
31.35	2.853	100.0
34.43	2.605	34.5
44.18	2.050	24.0
44.59	2.032	23.9
46.73	1.944	17.8
56.88	1.619	16.5

Cell and atoms:
```
Nd2Er2CBr5
1.0
8.984 -1.944 0.000
8.984 1.944 0.000
-1.860 0.000 8.194
Nd Er C Br
2 2 1 5
direct
0.001 0.001 0.294
0.999 0.999 0.706
0.364 0.364 0.430
0.636 0.636 0.570
0.500 0.500 0.500
0.168 0.168 0.824
0.174 0.174 0.347
0.500 0.500 0.000
0.826 0.826 0.653
0.832 0.832 0.176
```

***

No. 9
Theoretical X-ray powder pattern of CuAg for λ = 1.5418 Å (Cu Kα), from a DFT-relaxed cell (PBE, OQMD).

Main lines, by angle (2θ = 10–80°):
Position (°2θ)	d/Å	I_rel
19.72	4.502	8.8
25.51	3.491	9.4
38.20	2.356	4.8
39.94	2.257	100.0
40.06	2.251	99.2
41.69	2.167	2.5
46.52	1.952	94.8
67.79	1.382	9.5
67.89	1.381	38.0
68.10	1.377	9.4

Cell and atoms:
```
CuAg
1.0
2.754 -3.908 0.000
2.754 3.908 0.000
0.000 0.000 5.530
Cu Ag
4 4
direct
0.000 0.000 0.250
0.000 0.000 0.750
0.000 0.500 0.000
0.500 0.000 0.500
0.000 0.500 0.500
0.500 0.000 0.000
0.500 0.500 0.250
0.500 0.500 0.750
```

***

No. 10
Theoretical X-ray powder pattern of Cu2ReSi for λ = 1.5418 Å (Cu Kα), from a DFT-relaxed cell (PBE, OQMD).

Main lines, by angle (2θ = 10–80°):
Position (°2θ)	d/Å	I_rel
26.27	3.392	30.3
30.43	2.937	25.8
43.57	2.077	100.0
51.60	1.771	15.3
54.07	1.696	7.2
63.32	1.469	16.0
69.78	1.348	6.5
71.87	1.314	9.3

Cell and atoms:
```
Cu2ReSi
1.0
0.000 2.937 2.937
2.937 0.000 2.937
2.937 2.937 0.000
Cu Re Si
2 1 1
direct
0.000 0.000 0.000
0.250 0.250 0.250
0.750 0.750 0.750
0.500 0.500 0.500
```

***

No. 11
Theoretical X-ray powder pattern of TbH7C8SO9 for λ = 1.5418 Å (Cu Kα), from a DFT-relaxed cell (PBE, OQMD).

Main lines, by angle (2θ = 10–80°):
Position (°2θ)	d/Å	I_rel
13.32	6.650	27.2
15.16	5.843	88.3
15.63	5.669	68.6
15.98	5.545	35.4
18.75	4.732	86.4
20.74	4.284	27.8
21.92	4.055	100.0
30.55	2.926	51.4
36.40	2.468	25.7
47.00	1.933	25.7

Cell and atoms:
```
TbH7C8SO9
1.0
6.250 0.000 0.000
-2.636 8.138 0.000
-1.771 -0.848 10.333
Tb H C S O
2 14 16 2 18
direct
0.152 0.243 0.112
0.848 0.757 0.888
0.182 0.152 0.554
0.317 0.955 0.112
0.341 0.644 0.786
0.354 0.642 0.583
0.390 0.588 0.356
0.414 0.494 0.848
0.457 0.903 0.820
0.543 0.097 0.180
0.586 0.506 0.152
0.610 0.412 0.644
0.646 0.358 0.417
0.659 0.356 0.214
0.683 0.045 0.888
0.818 0.848 0.446
0.020 0.224 0.700
0.020 0.759 0.657
0.050 0.202 0.574
0.082 0.748 0.528
0.136 0.696 0.273
0.159 0.653 0.138
0.248 0.679 0.504
0.269 0.650 0.377
0.731 0.350 0.623
0.752 0.321 0.496
0.841 0.347 0.862
0.864 0.304 0.727
0.918 0.252 0.472
0.950 0.798 0.426
0.980 0.241 0.343
0.980 0.776 0.300
0.214 0.169 0.820
0.786 0.831 0.180
0.087 0.033 0.890
0.149 0.742 0.762
0.155 0.756 0.053
0.169 0.217 0.336
0.181 0.514 0.116
0.316 0.314 0.917
0.374 0.127 0.753
0.385 0.075 0.136
0.467 0.593 0.800
0.533 0.407 0.200
0.615 0.925 0.864
0.626 0.873 0.247
0.684 0.686 0.083
0.819 0.486 0.884
0.831 0.783 0.664
0.845 0.244 0.947
0.851 0.258 0.238
0.913 0.967 0.110
```

***

No. 12
Theoretical X-ray powder pattern of Co11Re2 for λ = 1.5418 Å (Cu Kα), from a DFT-relaxed cell (PBE, OQMD).

Main lines, by angle (2θ = 10–80°):
Position (°2θ)	d/Å	I_rel
10.69	8.273	29.9
22.68	3.920	40.2
23.53	3.781	40.4
39.31	2.292	83.7
42.98	2.105	74.7
45.23	2.005	38.3
45.86	1.979	65.2
46.29	1.961	100.0
51.87	1.763	40.5
76.19	1.250	30.6

Cell and atoms:
```
Co11Re2
1.0
2.292 1.323 8.273
-2.292 1.323 8.273
0.000 -2.647 8.273
Co Re
11 2
direct
0.000 0.000 0.000
0.091 0.091 0.585
0.091 0.585 0.091
0.165 0.165 0.165
0.346 0.346 0.346
0.415 0.909 0.909
0.585 0.091 0.091
0.654 0.654 0.654
0.835 0.835 0.835
0.909 0.415 0.909
0.909 0.909 0.415
0.452 0.452 0.452
0.548 0.548 0.548
```

***

No. 13
Theoretical X-ray powder pattern of NbSi2O4 for λ = 1.5418 Å (Cu Kα), from a DFT-relaxed cell (PBE, OQMD).

Main lines, by angle (2θ = 10–80°):
Position (°2θ)	d/Å	I_rel
16.72	5.303	40.8
27.47	3.247	100.0
32.29	2.772	89.7
32.40	2.763	44.4
48.52	1.876	26.5
48.64	1.872	13.1
51.67	1.769	32.1
56.60	1.626	19.4
56.74	1.622	38.4
77.75	1.228	12.9

Cell and atoms:
```
NbSi2O4
1.0
-3.252 3.252 4.579
3.252 -3.252 4.579
3.252 3.252 -4.579
Nb Si O
2 4 8
direct
0.375 0.625 0.750
0.625 0.375 0.250
0.000 0.000 0.000
0.000 0.000 0.500
0.000 0.500 0.000
0.500 0.000 0.500
0.256 0.268 0.512
0.256 0.744 0.512
0.256 0.744 0.988
0.268 0.256 0.012
0.732 0.744 0.988
0.744 0.256 0.012
0.744 0.256 0.488
0.744 0.732 0.488
```